No. 1
This entry pairs a crystal structure of La7AsCl12 with its simulated powder diffraction line list. Radiation: CuKα. Structure: a crystal structure in Alexandria, relaxed with GGA-PBE.
Intensities are scaled so that the largest is 100.

The 8 most intense peaks (2θ = 10–90°), sorted by position:
2θ/deg, I (rel.), index
11.11, 27, 1 0 1
11.70, 67, 1 1 0
20.00, 17, 2 1 1
26.09, 16, 1 3 1
30.38, 100, 4 -1 2
43.14, 35, 5 2 0
43.86, 35, 1 3 4
53.68, 17, 2 6 2

Atomic structure:
Cell lengths 15.1212, 15.1212, 10.0349 Å; angles 90.00, 90.00, 120.00 degrees
Space group R-3 (No. 148, hexagonal axes)
One atom of each set of equivalent atoms:
La (0.0000, 0.0000, 0.0000) x3
La (0.0418, 0.8700, 0.3393) x18
As (0.0000, 0.0000, 0.5000) x3
Cl (0.0268, 0.4443, 0.1610) x18
Cl (0.0423, 0.8697, 0.8396) x18

---

No. 2
This entry pairs a crystal structure of La3SbAsCl with its simulated powder diffraction line list. Radiation: CuKα. Structure: a crystal structure in Alexandria, relaxed with GGA-PBE.
Intensities are scaled so that the largest is 100.

The 8 most intense peaks (2θ = 10–90°), sorted by position:
2θ/deg, I (rel.), index
27.60, 13, 1 1 -2
27.93, 39, 0 0 3
28.76, 100, 2 1 0
34.09, 12, 1 1 -3
36.89, 17, 2 1 -3
40.25, 27, 0 2 0
40.85, 18, 4 0 -1
49.71, 17, 0 2 3

Atomic structure:
Cell lengths 8.837, 4.481, 9.846 Å; angles 90.00, 103.30, 90.00 degrees
Space group P2_1/m (No. 11)
One atom of each set of equivalent atoms:
La (0.075, 0.250, 0.347) x2
La (0.232, 0.250, 0.989) x2
La (0.394, 0.750, 0.631) x2
Sb (0.317, 0.750, 0.274) x2
As (0.162, 0.250, 0.660) x2
Cl (0.403, 0.750, 0.919) x2

---

No. 3
This entry pairs a crystal structure of Li2AsCl with its simulated powder diffraction line list. Radiation: CuKα. Structure: a crystal structure in Alexandria, relaxed with GGA-PBE.
Intensities are scaled so that the largest is 100.

The 8 most intense peaks (2θ = 10–90°), sorted by position:
2θ/deg, I (rel.), index
12.17, 59, 0 0 1
24.48, 100, 0 0 2
28.88, 64, 0 1 0
29.56, 61, 1 0 -1
33.71, 60, 1 0 1
38.21, 82, 0 1 2
41.80, 67, 1 1 -1
44.96, 35, 1 1 1

Atomic structure:
Cell lengths 3.113, 3.092, 7.390 Å; angles 90.00, 100.25, 90.00 degrees
Space group P2/m (No. 10)
One atom of each set of equivalent atoms:
Li (0.209, 0.000, 0.279) x2
As (0.500, 0.500, 0.000) x1
Cl (0.000, 0.500, 0.500) x1

---

No. 4
This entry pairs a crystal structure of Li2AsCl5 with its simulated powder diffraction line list. Radiation: CuKα. Structure: a crystal structure in Alexandria, relaxed with GGA-PBE.
Intensities are scaled so that the largest is 100.

The 8 most intense peaks (2θ = 10–90°), sorted by position:
2θ/deg, I (rel.), index
13.99, 33, 0 0 1
14.76, 76, 1 1 0
15.44, 100, 2 0 0
18.05, 42, 2 0 -1
21.71, 30, 1 1 1
30.79, 34, 4 0 -1
34.73, 33, 2 2 1
38.24, 37, 0 2 2

Atomic structure:
Cell lengths 11.860, 7.045, 6.541 Å; angles 90.00, 104.66, 90.00 degrees
Space group Cm (No. 8)
One atom of each set of equivalent atoms:
Li (0.000, 0.000, 0.000) x2
Li (0.043, 0.500, 0.532) x2
As (0.036, 0.000, 0.540) x2
Cl (0.105, 0.250, 0.807) x4
Cl (0.362, 0.500, 0.624) x2
Cl (0.477, 0.252, 0.259) x4

---

No. 5
This entry pairs a crystal structure of Li2AsNCl with its simulated powder diffraction line list. Radiation: CuKα. Structure: a crystal structure in Alexandria, relaxed with GGA-PBE.
Intensities are scaled so that the largest is 100.

The 8 most intense peaks (2θ = 10–90°), sorted by position:
2θ/deg, I (rel.), index
17.19, 48, 1 0 0
24.41, 100, 1 1 0
29.59, 85, 1 0 1
34.79, 52, 2 0 0
46.30, 48, 2 1 1
50.02, 17, 2 2 0
55.40, 17, 1 1 2
61.41, 18, 2 0 2

Atomic structure:
Cell lengths 5.158, 5.158, 3.724 Å; angles 90.00, 90.00, 90.00 degrees
Space group P4/mmm (No. 123)
One atom of each set of equivalent atoms:
Li (0.000, 0.500, 0.000) x2
As (0.000, 0.000, 0.000) x1
N (0.000, 0.000, 0.500) x1
Cl (0.500, 0.500, 0.500) x1